No. 1
# Cd3P
Simulated X-ray diffraction stick pattern, Cu Kα. Input: a crystal structure in Alexandria, relaxed with GGA-PBE.
Neutral-atom scattering factors, no anomalous dispersion.

Peak list (6 most intense, 15 to 90 degrees two-theta, sorted by position)
2θ (°), I (rel.)
25.86, 34
30.82, 67
36.49, 100
44.09, 27
44.98, 19
69.51, 19

Cell and atoms:
a = 6.8223 Å, b = 6.8223 Å, c = 6.8223 Å
α = 149.55°, β = 145.64°, γ = 46.56°
Element x y z (fractional)
Cd  0.0000  0.0000  0.0000
Cd  0.3087  0.8087  0.5000
Cd  0.6913  0.1913  0.5000
P  0.5000  0.5000  0.0000

No. 2
# Cd2P
Simulated X-ray diffraction stick pattern, Cu Kα. Input: a crystal structure in Alexandria, relaxed with GGA-PBE.
Neutral-atom scattering factors, no anomalous dispersion.

Peak list (6 most intense, 15 to 90 degrees two-theta, sorted by position)
2θ (°), I (rel.)
25.65, 40
30.30, 100
32.96, 47
34.58, 41
34.72, 51
44.84, 40

Cell and atoms:
a = 5.8782 Å, b = 5.8782 Å, c = 6.8752 Å
α = 116.33°, β = 116.33°, γ = 40.24°
Element x y z (fractional)
Cd  0.0958  0.0958  0.3989
Cd  0.3623  0.3623  0.9639
Cd  0.6377  0.6377  0.0361
Cd  0.9042  0.9042  0.6011
P  0.3055  0.3055  0.2983
P  0.6945  0.6945  0.7017